No. 1
La3Zn: computed powder XRD pattern (λ = 1.5418 Å (Cu Kα)), based on DFT lattice parameters and positions (PBE).

Atomic structure:
```
La3Zn
1.0
4.964 0.000 0.000
0.000 4.964 0.000
0.000 0.000 4.964
La Zn
3 1
Direct
0.000 0.000 0.500
0.000 0.500 0.000
0.500 0.000 0.000
0.500 0.500 0.500
```

Most intense lines, 10 to 90 degrees two-theta, most intense first:
- d 2.866, 2θ 31.21, I 100
- d 2.482, 2θ 36.19, I 50
- d 1.497, 2θ 62.01, I 41
- d 1.755, 2θ 52.12, I 35
- d 1.139, 2θ 85.22, I 17
- d 1.110, 2θ 87.99, I 16
- d 1.433, 2θ 65.10, I 12
- d 1.241, 2θ 76.82, I 5
- d 4.964, 2θ 17.87, I 5
- d 3.510, 2θ 25.38, I 5

---

No. 2
Cu3Br4N4: computed powder XRD pattern (λ = 1.5418 Å (Cu Kα)), based on DFT lattice parameters and positions (PBE).

Atomic structure:
```
Cu3Br4N4
1.0
-4.919 4.919 2.723
4.919 -4.919 2.723
4.919 4.919 -2.723
Cu Br N
3 4 4
Direct
0.000 0.000 0.000
0.250 0.750 0.500
0.750 0.250 0.500
0.201 0.500 0.701
0.500 0.201 0.701
0.500 0.799 0.299
0.799 0.500 0.299
0.132 0.132 0.264
0.132 0.868 0.000
0.868 0.132 0.000
0.868 0.868 0.736
```

Most intense lines, 10 to 90 degrees two-theta, most intense first:
- d 3.423, 2θ 26.04, I 100
- d 4.919, 2θ 18.03, I 52
- d 6.957, 2θ 12.72, I 42
- d 2.809, 2θ 31.85, I 34
- d 1.732, 2θ 52.86, I 29
- d 1.765, 2θ 51.78, I 28
- d 2.049, 2θ 44.20, I 26
- d 2.144, 2θ 42.14, I 24
- d 2.460, 2θ 36.53, I 23
- d 1.930, 2θ 47.10, I 14

---

No. 3
CaCO3: computed powder XRD pattern (λ = 1.5418 Å (Cu Kα)), based on DFT lattice parameters and positions (PBE).

Atomic structure:
```
CaCO3
1.0
4.961 0.000 0.000
0.000 5.141 0.000
0.000 0.000 4.343
Ca C O
2 2 6
Direct
0.250 0.250 0.108
0.750 0.750 0.892
0.250 0.750 0.510
0.750 0.250 0.490
0.021 0.750 0.370
0.250 0.750 0.812
0.479 0.750 0.370
0.521 0.250 0.630
0.750 0.250 0.188
0.979 0.250 0.630
```

Most intense lines, 10 to 90 degrees two-theta, most intense first:
- d 2.570, 2θ 34.91, I 100
- d 2.758, 2θ 32.47, I 76
- d 1.987, 2θ 45.66, I 73
- d 2.000, 2θ 45.33, I 57
- d 2.154, 2θ 41.94, I 27
- d 1.651, 2θ 55.67, I 21
- d 1.341, 2θ 70.18, I 14
- d 3.318, 2θ 26.87, I 12
- d 1.345, 2θ 69.93, I 12
- d 2.481, 2θ 36.21, I 12

---

No. 4
Al5Mo: computed powder XRD pattern (λ = 1.5418 Å (Cu Kα)), based on DFT lattice parameters and positions (PBE).

Atomic structure:
```
Al5Mo
1.0
2.479 1.431 8.743
-2.479 1.431 8.743
0.000 -2.862 8.743
Al Mo
10 2
Direct
0.096 0.750 0.404
0.169 0.169 0.169
0.250 0.596 0.904
0.331 0.331 0.331
0.404 0.096 0.750
0.596 0.904 0.250
0.669 0.669 0.669
0.750 0.404 0.096
0.831 0.831 0.831
0.904 0.250 0.596
0.000 0.000 0.000
0.500 0.500 0.500
```

Most intense lines, 10 to 90 degrees two-theta, most intense first:
- d 2.156, 2θ 41.90, I 100
- d 4.080, 2θ 21.78, I 41
- d 3.592, 2θ 24.79, I 28
- d 2.479, 2θ 36.24, I 26
- d 2.186, 2θ 41.30, I 25
- d 1.197, 2θ 80.17, I 21
- d 1.431, 2θ 65.19, I 19
- d 2.385, 2θ 37.72, I 18
- d 1.256, 2θ 75.71, I 17
- d 4.372, 2θ 20.31, I 15

---

No. 5
SrMg6Nb: computed powder XRD pattern (λ = 1.5418 Å (Cu Kα)), based on DFT lattice parameters and positions (PBE).

Atomic structure:
```
SrMg6Nb
1.0
6.481 0.000 0.000
0.000 6.481 0.000
0.000 0.000 4.597
Sr Mg Nb
1 6 1
Direct
0.000 0.000 0.000
0.000 0.500 0.000
0.278 0.278 0.500
0.278 0.722 0.500
0.500 0.000 0.000
0.722 0.278 0.500
0.722 0.722 0.500
0.500 0.500 0.000
```

Most intense lines, 10 to 90 degrees two-theta, most intense first:
- d 2.649, 2θ 33.84, I 100
- d 4.587, 2θ 19.35, I 50
- d 3.244, 2θ 27.50, I 41
- d 2.291, 2θ 39.32, I 32
- d 1.622, 2θ 56.76, I 31
- d 1.382, 2θ 67.81, I 22
- d 1.873, 2θ 48.62, I 19
- d 2.299, 2θ 39.19, I 17
- d 2.053, 2θ 44.12, I 17
- d 1.385, 2θ 67.63, I 13

---

No. 6
SrNb2Bi2O9: computed powder XRD pattern (λ = 1.5418 Å (Cu Kα)), based on DFT lattice parameters and positions (PBE).

Atomic structure:
```
SrNb2Bi2O9
1.0
12.702 -2.824 0.000
12.702 2.824 0.000
0.000 0.000 5.688
Sr Nb Bi O
2 4 4 18
Direct
0.248 0.752 0.500
0.752 0.248 0.000
0.169 0.666 0.992
0.334 0.831 0.992
0.666 0.169 0.492
0.831 0.334 0.492
0.014 0.586 0.582
0.414 0.986 0.582
0.586 0.014 0.082
0.986 0.414 0.082
0.014 0.676 0.954
0.041 0.089 0.733
0.089 0.041 0.233
0.229 0.272 0.791
0.272 0.229 0.291
0.306 0.694 0.951
0.324 0.986 0.954
0.385 0.443 0.686
0.443 0.385 0.186
0.557 0.615 0.686
0.615 0.557 0.186
0.676 0.014 0.454
0.694 0.306 0.451
0.728 0.771 0.791
0.771 0.728 0.291
0.911 0.959 0.733
0.959 0.911 0.233
0.986 0.324 0.454
```

Most intense lines, 10 to 90 degrees two-theta, most intense first:
- d 3.147, 2θ 28.36, I 100
- d 3.623, 2θ 24.57, I 23
- d 2.824, 2θ 31.69, I 17
- d 2.844, 2θ 31.45, I 16
- d 2.004, 2θ 45.25, I 15
- d 1.757, 2θ 52.04, I 15
- d 1.695, 2θ 54.12, I 14
- d 1.686, 2θ 54.42, I 13
- d 2.540, 2θ 35.33, I 11
- d 1.889, 2θ 48.18, I 10

---

No. 7
ZnHgAsHO5: computed powder XRD pattern (λ = 1.5418 Å (Cu Kα)), based on DFT lattice parameters and positions (PBE).

Atomic structure:
```
ZnHgAsHO5
1.0
7.762 0.000 0.000
0.000 6.427 0.000
0.000 0.000 8.838
Zn Hg As H O
4 4 4 4 20
Direct
0.000 0.000 0.000
0.000 0.500 0.000
0.500 0.000 0.500
0.500 0.500 0.500
0.113 0.250 0.325
0.387 0.750 0.825
0.613 0.250 0.175
0.887 0.750 0.675
0.139 0.250 0.678
0.361 0.750 0.178
0.639 0.250 0.822
0.861 0.750 0.322
0.241 0.750 0.543
0.259 0.250 0.043
0.741 0.750 0.957
0.759 0.250 0.457
0.022 0.750 0.461
0.126 0.026 0.785
0.126 0.474 0.785
0.139 0.250 0.080
0.174 0.750 0.069
0.326 0.250 0.569
0.361 0.750 0.580
0.374 0.526 0.285
0.374 0.974 0.285
0.478 0.250 0.961
0.522 0.750 0.039
0.626 0.026 0.715
0.626 0.474 0.715
0.639 0.250 0.420
0.674 0.750 0.431
0.826 0.250 0.931
0.861 0.750 0.920
0.874 0.526 0.215
0.874 0.974 0.215
0.978 0.250 0.539
```

Most intense lines, 10 to 90 degrees two-theta, most intense first:
- d 3.322, 2θ 26.84, I 100
- d 2.754, 2θ 32.51, I 48
- d 2.815, 2θ 31.79, I 47
- d 2.655, 2θ 33.75, I 43
- d 2.532, 2θ 35.46, I 43
- d 5.198, 2θ 17.06, I 35
- d 4.319, 2θ 20.56, I 33
- d 1.664, 2θ 55.21, I 32
- d 3.214, 2θ 27.76, I 31
- d 2.383, 2θ 37.74, I 25

---

No. 8
CrFeGe2: computed powder XRD pattern (λ = 1.5418 Å (Cu Kα)), based on DFT lattice parameters and positions (PBE).

Atomic structure:
```
CrFeGe2
1.0
4.726 0.000 0.000
0.000 4.710 0.000
-0.007 0.000 4.739
Cr Fe Ge
2 2 4
Direct
0.131 0.000 0.109
0.869 0.500 0.891
0.362 0.728 0.616
0.638 0.228 0.384
0.160 0.206 0.590
0.346 0.519 0.096
0.654 0.019 0.904
0.840 0.706 0.410
```

Most intense lines, 10 to 90 degrees two-theta, most intense first:
- d 2.111, 2θ 42.85, I 100
- d 2.118, 2θ 42.69, I 50
- d 1.931, 2θ 47.05, I 41
- d 1.927, 2θ 47.17, I 41
- d 2.728, 2θ 32.83, I 25
- d 1.265, 2θ 75.12, I 17
- d 1.261, 2θ 75.40, I 16
- d 1.263, 2θ 75.21, I 15
- d 1.576, 2θ 58.56, I 6
- d 2.369, 2θ 37.97, I 5